No. 1
Computed powder XRD pattern of NaInGe for Cu Ka, from DFT lattice parameters and positions (GGA-PBE).

Principal peaks in the range 2θ = 10–90°, by angle:
16.3 deg, I 67
23.1 deg, I 25
28.3 deg, I 18
32.9 deg, I 100
34.7 deg, I 40
35.1 deg, I 37
36.8 deg, I 66
44.0 deg, I 19
47.2 deg, I 21
50.2 deg, I 23

Structural model:
Cell: 5.242 10.903 5.298 Å, 90.00 102.57 90.00°
Fractional positions:
1 Na 0.224 0.000 0.266
2 Na 0.276 0.500 0.734
3 Na 0.724 0.500 0.266
4 Na 0.776 0.000 0.734
5 In 0.222 0.692 0.269
6 In 0.278 0.192 0.731
7 In 0.722 0.192 0.269
8 In 0.778 0.692 0.731
9 Ge 0.200 0.332 0.202
10 Ge 0.300 0.832 0.798
11 Ge 0.700 0.832 0.202
12 Ge 0.800 0.332 0.798

***

No. 2
Computed powder XRD pattern of NaTiSi2O6 for Cu Ka, from DFT lattice parameters and positions (GGA-PBE).

Principal peaks in the range 2θ = 10–90°, by angle:
13.7 deg, I 25
20.1 deg, I 31
29.7 deg, I 100
29.9 deg, I 48
35.2 deg, I 62
35.5 deg, I 39
40.4 deg, I 17
42.2 deg, I 18
56.2 deg, I 18
65.0 deg, I 19

Structural model:
Cell: 6.646 6.646 5.308 Å, 101.99 101.99 83.26°
Fractional positions:
1 Na 0.194 0.806 0.750
2 Na 0.806 0.194 0.250
3 Ti 0.412 0.588 0.250
4 Ti 0.588 0.412 0.750
5 Si 0.114 0.301 0.759
6 Si 0.301 0.114 0.259
7 Si 0.699 0.886 0.741
8 Si 0.886 0.699 0.241
9 O 0.122 0.608 0.309
10 O 0.140 0.159 0.987
11 O 0.159 0.140 0.487
12 O 0.293 0.466 0.850
13 O 0.392 0.878 0.191
14 O 0.466 0.293 0.350
15 O 0.534 0.707 0.650
16 O 0.608 0.122 0.809
17 O 0.707 0.534 0.150
18 O 0.841 0.860 0.513
19 O 0.860 0.841 0.013
20 O 0.878 0.392 0.691

***

No. 3
Computed powder XRD pattern of BaPuIn2Br8 for Cu Ka, from DFT lattice parameters and positions (GGA-PBE).

Principal peaks in the range 2θ = 10–90°, by angle:
17.2 deg, I 100
17.5 deg, I 82
22.7 deg, I 74
25.7 deg, I 73
27.4 deg, I 37
33.2 deg, I 37
33.8 deg, I 87
34.2 deg, I 64
38.3 deg, I 47
41.4 deg, I 70

Structural model:
Cell: 7.071 9.393 7.389 Å, 90.00 91.04 90.00°
Fractional positions:
1 Ba 0.000 0.000 0.000
2 Pu 0.000 0.500 0.000
3 In 0.500 0.252 0.500
4 In 0.500 0.748 0.500
5 Br 0.227 0.500 0.310
6 Br 0.229 0.280 0.855
7 Br 0.229 0.720 0.855
8 Br 0.277 0.000 0.351
9 Br 0.723 0.000 0.649
10 Br 0.771 0.280 0.145
11 Br 0.771 0.720 0.145
12 Br 0.773 0.500 0.690

***

No. 4
Computed powder XRD pattern of SiPHS for Cu Ka, from DFT lattice parameters and positions (GGA-PBE).

Principal peaks in the range 2θ = 10–90°, by angle:
12.9 deg, I 100
26.0 deg, I 41
29.1 deg, I 19
29.6 deg, I 100
30.7 deg, I 47
34.1 deg, I 17
44.8 deg, I 37
51.0 deg, I 29
54.2 deg, I 19
56.4 deg, I 18

Structural model:
Cell: 6.208 3.611 7.325 Å, 90.00 110.37 90.00°
Fractional positions:
1 Si 0.000 0.000 0.000
2 Si 0.500 0.500 0.000
3 P 0.109 0.500 0.858
4 P 0.609 0.000 0.858
5 H 0.325 0.000 0.346
6 H 0.825 0.500 0.346
7 S 0.095 0.000 0.311
8 S 0.595 0.500 0.311

***

No. 5
Computed powder XRD pattern of AgBi6S9 for Cu Ka, from DFT lattice parameters and positions (GGA-PBE).

Principal peaks in the range 2θ = 10–90°, by angle:
23.9 deg, I 69
24.9 deg, I 90
25.5 deg, I 72
26.4 deg, I 43
29.4 deg, I 75
30.6 deg, I 100
38.6 deg, I 27
41.9 deg, I 38
43.5 deg, I 46
44.2 deg, I 38

Structural model:
Cell: 7.078 7.078 15.087 Å, 98.43 98.43 34.22°
Fractional positions:
1 Ag 0.000 0.000 0.000
2 Bi 0.062 0.062 0.311
3 Bi 0.248 0.248 0.883
4 Bi 0.354 0.354 0.436
5 Bi 0.646 0.646 0.564
6 Bi 0.752 0.752 0.117
7 Bi 0.938 0.938 0.689
8 S 0.000 0.000 0.500
9 S 0.117 0.117 0.148
10 S 0.286 0.286 0.614
11 S 0.358 0.358 0.041
12 S 0.427 0.427 0.275
13 S 0.573 0.573 0.725
14 S 0.642 0.642 0.959
15 S 0.714 0.714 0.386
16 S 0.883 0.883 0.852

***

No. 6
Computed powder XRD pattern of Ga3Ag6Sn for Cu Ka, from DFT lattice parameters and positions (GGA-PBE).

Principal peaks in the range 2θ = 10–90°, by angle:
26.9 deg, I 21
34.9 deg, I 20
35.2 deg, I 30
35.6 deg, I 15
35.9 deg, I 16
36.7 deg, I 37
37.5 deg, I 16
38.2 deg, I 100
40.8 deg, I 14
47.5 deg, I 26

Structural model:
Cell: 8.353 8.353 5.786 Å, 90.00 90.00 103.92°
Fractional positions:
1 Ga 0.095 0.905 0.500
2 Ga 0.216 0.371 0.198
3 Ga 0.371 0.216 0.698
4 Ga 0.629 0.784 0.198
5 Ga 0.784 0.629 0.698
6 Ga 0.905 0.095 0.000
7 Ag 0.016 0.480 0.885
8 Ag 0.063 0.219 0.577
9 Ag 0.219 0.063 0.077
10 Ag 0.272 0.728 0.123
11 Ag 0.480 0.016 0.385
12 Ag 0.485 0.515 0.930
13 Ag 0.515 0.485 0.430
14 Ag 0.520 0.984 0.885
15 Ag 0.728 0.272 0.623
16 Ag 0.781 0.937 0.577
17 Ag 0.937 0.781 0.077
18 Ag 0.984 0.520 0.385
19 Sn 0.306 0.694 0.627
20 Sn 0.694 0.306 0.127